Diffraction record for Cd2Ge2Rh3. The powder diffractogram is theoretical, not measured: it uses DFT lattice parameters and positions (PBE) and copper Kα.

Structural model:
abc: 7.426 4.276 7.852
angles: 90.00 108.38 90.00
Space group C2/m (No. 12)
Unique sites:
Cd (0.133, 0.000, 0.400) (multiplicity 4)
Ge (0.118, 0.500, 0.855) (multiplicity 4)
Rh (0.000, 0.000, 0.000) (multiplicity 2)
Rh (0.234, 0.500, 0.201) (multiplicity 4)

Main lines, in order of rising 2θ (10 to 80 degrees two-theta):
hkl 1 1 0, 24.33 deg, d = 3.658 Å, rel. 15
hkl 1 1 -1, 25.31 deg, d = 3.519 Å, rel. 10
hkl 1 1 2, 37.16 deg, d = 2.420 Å, rel. 43
hkl 2 0 2, 40.42 deg, d = 2.232 Å, rel. 85
hkl 0 2 0, 42.21 deg, d = 2.141 Å, rel. 100
hkl 4 0 1, 57.48 deg, d = 1.603 Å, rel. 12
hkl 2 2 2, 59.91 deg, d = 1.544 Å, rel. 17
hkl 5 1 1, 75.92 deg, d = 1.253 Å, rel. 17
hkl 3 3 -1, 77.24 deg, d = 1.235 Å, rel. 11
hkl 3 1 4, 78.15 deg, d = 1.223 Å, rel. 17



Diffraction record for Cd2GeRh3. The powder diffractogram is theoretical, not measured: it uses DFT lattice parameters and positions (PBE) and copper Kα.

Structural model:
abc: 4.432 13.235 6.511
angles: 90.00 90.00 90.00
Space group Cmmm (No. 65)
Unique sites:
Cd (0.000, 0.000, 0.000) (multiplicity 2)
Cd (0.000, 0.000, 0.500) (multiplicity 2)
Cd (0.000, 0.335, 0.000) (multiplicity 4)
Ge (0.000, 0.340, 0.500) (multiplicity 4)
Rh (0.000, 0.176, 0.281) (multiplicity 8)
Rh (0.000, 0.500, 0.268) (multiplicity 4)

Main lines, in order of rising 2θ (10 to 80 degrees two-theta):
hkl 1 3 1, 31.75 deg, d = 2.818 Å, rel. 4
hkl 1 3 2, 39.98 deg, d = 2.255 Å, rel. 100
hkl 2 0 0, 40.72 deg, d = 2.216 Å, rel. 25
hkl 0 6 0, 40.91 deg, d = 2.206 Å, rel. 24
hkl 0 0 4, 56.54 deg, d = 1.628 Å, rel. 7
hkl 2 6 0, 59.09 deg, d = 1.563 Å, rel. 16
hkl 2 0 4, 71.99 deg, d = 1.312 Å, rel. 7
hkl 0 6 4, 72.12 deg, d = 1.310 Å, rel. 7
hkl 3 3 2, 73.62 deg, d = 1.287 Å, rel. 16
hkl 1 9 2, 73.88 deg, d = 1.283 Å, rel. 14



Diffraction record for CdGeRh. The powder diffractogram is theoretical, not measured: it uses DFT lattice parameters and positions (PBE) and copper Kα.

Structural model:
abc: 3.022 3.022 6.045
angles: 90.00 90.00 90.00
Space group P4mm (No. 99)
Unique sites:
Cd (0.000, 0.000, 0.000) (multiplicity 1)
Ge (0.000, 0.000, 0.447) (multiplicity 1)
Rh (0.500, 0.500, 0.674) (multiplicity 1)

Main lines, in order of rising 2θ (10 to 80 degrees two-theta):
hkl 0 0 1, 14.65 deg, d = 6.045 Å, rel. 15
hkl 0 0 2, 29.56 deg, d = 3.022 Å, rel. 16
hkl 1 0 1, 33.14 deg, d = 2.703 Å, rel. 38
hkl 1 1 0, 42.30 deg, d = 2.137 Å, rel. 100
hkl 0 0 3, 44.99 deg, d = 2.015 Å, rel. 10
hkl 2 0 0, 61.36 deg, d = 1.511 Å, rel. 15
hkl 1 1 3, 63.46 deg, d = 1.466 Å, rel. 11
hkl 1 0 4, 69.56 deg, d = 1.352 Å, rel. 9
hkl 2 1 1, 71.54 deg, d = 1.319 Å, rel. 8
hkl 2 1 2, 77.35 deg, d = 1.234 Å, rel. 26



Diffraction record for Sm2CdGe2Rh5. The powder diffractogram is theoretical, not measured: it uses DFT lattice parameters and positions (PBE) and copper Kα.

Structural model:
abc: 9.935 9.935 3.625
angles: 90.00 90.00 90.00
Space group P4/mbm (No. 127)
Unique sites:
Sm (0.175, 0.325, 0.000) (multiplicity 4)
Cd (0.000, 0.000, 0.000) (multiplicity 2)
Ge (0.123, 0.623, 0.000) (multiplicity 4)
Rh (0.000, 0.500, 0.500) (multiplicity 2)
Rh (0.068, 0.786, 0.500) (multiplicity 8)

Main lines, in order of rising 2θ (10 to 80 degrees two-theta):
hkl 2 1 1, 31.86 deg, d = 2.809 Å, rel. 28
hkl 2 2 1, 35.59 deg, d = 2.523 Å, rel. 27
hkl 4 1 0, 37.32 deg, d = 2.410 Å, rel. 51
hkl 3 1 1, 37.90 deg, d = 2.374 Å, rel. 100
hkl 3 3 0, 38.44 deg, d = 2.342 Å, rel. 16
hkl 4 2 0, 40.61 deg, d = 2.222 Å, rel. 21
hkl 3 2 1, 41.15 deg, d = 2.194 Å, rel. 36
hkl 0 0 2, 50.35 deg, d = 1.812 Å, rel. 23
hkl 4 1 2, 64.31 deg, d = 1.448 Å, rel. 20
hkl 5 5 0, 66.57 deg, d = 1.405 Å, rel. 16



Diffraction record for SrCd2GeRh2. The powder diffractogram is theoretical, not measured: it uses DFT lattice parameters and positions (PBE) and copper Kα.

Structural model:
abc: 4.683 4.683 6.217
angles: 90.00 90.00 90.00
Space group P4/mmm (No. 123)
Unique sites:
Sr (0.000, 0.000, 0.000) (multiplicity 1)
Cd (0.500, 0.500, 0.234) (multiplicity 2)
Ge (0.000, 0.000, 0.500) (multiplicity 1)
Rh (0.000, 0.500, 0.500) (multiplicity 2)

Main lines, in order of rising 2θ (10 to 80 degrees two-theta):
hkl 0 0 1, 14.25 deg, d = 6.217 Å, rel. 46
hkl 1 1 0, 26.93 deg, d = 3.311 Å, rel. 21
hkl 1 1 1, 30.59 deg, d = 2.923 Å, rel. 57
hkl 1 0 2, 34.63 deg, d = 2.590 Å, rel. 100
hkl 2 0 0, 38.45 deg, d = 2.341 Å, rel. 90
hkl 1 1 2, 39.77 deg, d = 2.266 Å, rel. 33
hkl 2 1 2, 52.70 deg, d = 1.737 Å, rel. 58
hkl 2 2 0, 55.50 deg, d = 1.656 Å, rel. 30
hkl 3 0 2, 67.10 deg, d = 1.395 Å, rel. 14
hkl 2 0 4, 73.09 deg, d = 1.295 Å, rel. 30



Diffraction record for Cd4GeSe3S3. The powder diffractogram is theoretical, not measured: it uses DFT lattice parameters and positions (PBE) and copper Kα.

Structural model:
abc: 12.993 7.376 12.876
angles: 90.00 109.80 90.00
Space group Cc (No. 9)
Unique sites:
Cd (0.000, 0.072, 0.000) (multiplicity 4)
Cd (0.167, 0.394, 0.495) (multiplicity 4)
Cd (0.189, 0.102, 0.807) (multiplicity 4)
Cd (0.371, 0.198, 0.163) (multiplicity 4)
Ge (0.435, 0.273, 0.742) (multiplicity 4)
Se (0.056, 0.236, 0.615) (multiplicity 4)
Se (0.127, 0.255, 0.291) (multiplicity 4)
Se (0.182, 0.246, 0.996) (multiplicity 4)
S (0.362, 0.238, 0.560) (multiplicity 4)
S (0.371, 0.478, 0.297) (multiplicity 4)
S (0.387, 0.030, 0.820) (multiplicity 4)

Main lines, in order of rising 2θ (10 to 80 degrees two-theta):
hkl 2 0 2, 23.95 deg, d = 3.715 Å, rel. 85
hkl 3 1 -2, 24.94 deg, d = 3.571 Å, rel. 100
hkl 0 2 1, 25.24 deg, d = 3.528 Å, rel. 73
hkl 4 0 -2, 27.90 deg, d = 3.198 Å, rel. 66
hkl 1 1 3, 28.27 deg, d = 3.157 Å, rel. 99
hkl 0 0 4, 29.51 deg, d = 3.027 Å, rel. 91
hkl 1 1 -4, 30.44 deg, d = 2.936 Å, rel. 54
hkl 3 3 -1, 42.25 deg, d = 2.139 Å, rel. 48
hkl 5 1 -5, 44.58 deg, d = 2.033 Å, rel. 50
hkl 3 3 -3, 44.95 deg, d = 2.017 Å, rel. 73



Diffraction record for ScCdGe. The powder diffractogram is theoretical, not measured: it uses DFT lattice parameters and positions (PBE) and copper Kα.

Structural model:
abc: 3.786 4.127 8.377
angles: 75.90 77.76 89.99
Space group P1 (No. 1)
Unique sites:
Sc (0.000, 0.000, 0.000) (multiplicity 1)
Sc (0.340, 0.836, 0.333) (multiplicity 1)
Cd (0.097, 0.636, 0.723) (multiplicity 1)
Cd (0.649, 0.187, 0.621) (multiplicity 1)
Ge (0.485, 0.484, 0.031) (multiplicity 1)
Ge (0.868, 0.365, 0.274) (multiplicity 1)

Main lines, in order of rising 2θ (10 to 80 degrees two-theta):
hkl 0 0 1, 11.16 deg, d = 7.928 Å, rel. 26
hkl 0 1 1, 22.26 deg, d = 3.994 Å, rel. 27
hkl 0 0 2, 22.43 deg, d = 3.964 Å, rel. 30
hkl 1 -1 0, 32.08 deg, d = 2.790 Å, rel. 60
hkl 0 0 3, 33.94 deg, d = 2.642 Å, rel. 100
hkl 1 1 2, 34.19 deg, d = 2.623 Å, rel. 93
hkl 1 1 -1, 39.29 deg, d = 2.293 Å, rel. 80
hkl 1 -1 2, 39.71 deg, d = 2.270 Å, rel. 49
hkl 0 2 1, 43.88 deg, d = 2.063 Å, rel. 52
hkl 2 0 1, 48.07 deg, d = 1.893 Å, rel. 36



Diffraction record for CdGe2Se4. The powder diffractogram is theoretical, not measured: it uses DFT lattice parameters and positions (PBE) and copper Kα.

Structural model:
abc: 7.635 7.635 6.560
angles: 90.00 90.00 90.00
Space group I4/m (No. 87)
Unique sites:
Cd (0.000, 0.000, 0.000) (multiplicity 2)
Ge (0.000, 0.500, 0.250) (multiplicity 4)
Se (0.181, 0.685, 0.000) (multiplicity 8)

Main lines, in order of rising 2θ (10 to 80 degrees two-theta):
hkl 1 0 1, 17.83 deg, d = 4.976 Å, rel. 41
hkl 0 0 2, 27.19 deg, d = 3.280 Å, rel. 21
hkl 2 1 1, 29.49 deg, d = 3.029 Å, rel. 100
hkl 1 1 2, 31.93 deg, d = 2.803 Å, rel. 31
hkl 2 2 0, 33.19 deg, d = 2.699 Å, rel. 51
hkl 2 0 2, 36.10 deg, d = 2.488 Å, rel. 30
hkl 3 1 2, 46.72 deg, d = 1.944 Å, rel. 71
hkl 2 1 3, 49.50 deg, d = 1.841 Å, rel. 23
hkl 1 4 1, 51.26 deg, d = 1.782 Å, rel. 35
hkl 5 3 2, 78.69 deg, d = 1.216 Å, rel. 27



Diffraction record for CdGe2Se2. The powder diffractogram is theoretical, not measured: it uses DFT lattice parameters and positions (PBE) and copper Kα.

Structural model:
abc: 8.125 8.125 3.666
angles: 90.00 90.00 90.00
Space group P4/mbm (No. 127)
Unique sites:
Cd (0.000, 0.000, 0.000) (multiplicity 2)
Ge (0.188, 0.312, 0.500) (multiplicity 4)
Se (0.156, 0.656, 0.000) (multiplicity 4)

Main lines, in order of rising 2θ (10 to 80 degrees two-theta):
hkl 1 1 1, 28.89 deg, d = 3.090 Å, rel. 13
hkl 2 2 0, 31.13 deg, d = 2.873 Å, rel. 32
hkl 2 0 1, 32.91 deg, d = 2.722 Å, rel. 31
hkl 2 1 1, 34.76 deg, d = 2.581 Å, rel. 100
hkl 3 1 0, 34.92 deg, d = 2.569 Å, rel. 66
hkl 3 1 1, 42.99 deg, d = 2.104 Å, rel. 25
hkl 0 0 2, 49.75 deg, d = 1.833 Å, rel. 16
hkl 4 1 1, 52.74 deg, d = 1.736 Å, rel. 33
hkl 3 1 2, 62.22 deg, d = 1.492 Å, rel. 23
hkl 5 3 0, 67.14 deg, d = 1.394 Å, rel. 21



Diffraction record for Sm4Cd5Ge6. The powder diffractogram is theoretical, not measured: it uses DFT lattice parameters and positions (PBE) and copper Kα.

Structural model:
abc: 4.432 19.905 15.969
angles: 90.00 90.00 90.00
Space group Cmc2_1 (No. 36)
Unique sites:
Sm (0.000, 0.015, 0.000) (multiplicity 4)
Sm (0.000, 0.034, 0.265) (multiplicity 4)
Sm (0.000, 0.163, 0.800) (multiplicity 4)
Sm (0.000, 0.174, 0.442) (multiplicity 4)
Cd (0.000, 0.154, 0.123) (multiplicity 4)
Cd (0.000, 0.301, 0.118) (multiplicity 4)
Cd (0.000, 0.342, 0.773) (multiplicity 4)
Cd (0.000, 0.350, 0.476) (multiplicity 4)
Cd (0.000, 0.438, 0.181) (multiplicity 4)
Ge (0.000, 0.111, 0.610) (multiplicity 4)
Ge (0.000, 0.228, 0.973) (multiplicity 4)
Ge (0.000, 0.236, 0.269) (multiplicity 4)
Ge (0.000, 0.432, 0.909) (multiplicity 4)
Ge (0.000, 0.433, 0.627) (multiplicity 4)
Ge (0.000, 0.447, 0.353) (multiplicity 4)

Main lines, in order of rising 2θ (10 to 80 degrees two-theta):
hkl 1 1 3, 26.55 deg, d = 3.357 Å, rel. 35
hkl 1 1 4, 30.47 deg, d = 2.934 Å, rel. 25
hkl 1 5 1, 30.70 deg, d = 2.912 Å, rel. 32
hkl 1 3 4, 33.08 deg, d = 2.708 Å, rel. 31
hkl 0 0 6, 33.67 deg, d = 2.662 Å, rel. 25
hkl 1 5 3, 34.66 deg, d = 2.588 Å, rel. 100
hkl 1 5 4, 37.83 deg, d = 2.378 Å, rel. 16
hkl 2 0 0, 40.71 deg, d = 2.216 Å, rel. 51
hkl 1 7 3, 41.36 deg, d = 2.183 Å, rel. 14
hkl 3 5 3, 70.20 deg, d = 1.341 Å, rel. 16



Diffraction record for Sr2CdGe3. The powder diffractogram is theoretical, not measured: it uses DFT lattice parameters and positions (PBE) and copper Kα.

Structural model:
abc: 11.356 4.558 7.522
angles: 90.00 127.31 90.00
Space group Cm (No. 8)
Unique sites:
Sr (0.000, 0.000, 0.000) (multiplicity 2)
Sr (0.113, 0.000, 0.627) (multiplicity 2)
Cd (0.217, 0.500, 0.395) (multiplicity 2)
Ge (0.233, 0.500, 0.028) (multiplicity 2)
Ge (0.385, 0.000, 0.591) (multiplicity 2)
Ge (0.394, 0.000, 0.243) (multiplicity 2)

Main lines, in order of rising 2θ (10 to 80 degrees two-theta):
hkl 1 1 1, 29.73 deg, d = 3.005 Å, rel. 59
hkl 3 1 -1, 30.86 deg, d = 2.898 Å, rel. 40
hkl 1 1 -2, 31.93 deg, d = 2.803 Å, rel. 86
hkl 4 0 -2, 32.07 deg, d = 2.791 Å, rel. 44
hkl 3 1 -2, 32.99 deg, d = 2.716 Å, rel. 32
hkl 3 1 0, 35.74 deg, d = 2.512 Å, rel. 100
hkl 2 0 -3, 36.60 deg, d = 2.455 Å, rel. 23
hkl 4 0 -3, 38.00 deg, d = 2.368 Å, rel. 28
hkl 0 2 0, 39.54 deg, d = 2.279 Å, rel. 56
hkl 7 1 -3, 60.66 deg, d = 1.527 Å, rel. 24



Diffraction record for Sr6Cd23Ge. The powder diffractogram is theoretical, not measured: it uses DFT lattice parameters and positions (PBE) and copper Kα.

Structural model:
abc: 14.577 14.577 14.577
angles: 90.00 90.00 90.00
Space group Fm-3m (No. 225)
Unique sites:
Sr (0.000, 0.000, 0.212) (multiplicity 24)
Cd (0.000, 0.000, 0.500) (multiplicity 4)
Cd (0.000, 0.250, 0.250) (multiplicity 24)
Cd (0.122, 0.122, 0.378) (multiplicity 32)
Cd (0.168, 0.168, 0.168) (multiplicity 32)
Ge (0.000, 0.000, 0.000) (multiplicity 4)

Main lines, in order of rising 2θ (10 to 80 degrees two-theta):
hkl 2 0 0, 12.14 deg, d = 7.289 Å, rel. 9
hkl 3 3 3, 31.90 deg, d = 2.805 Å, rel. 37
hkl 4 4 0, 34.81 deg, d = 2.577 Å, rel. 100
hkl 5 3 1, 36.46 deg, d = 2.464 Å, rel. 18
hkl 6 0 0, 37.00 deg, d = 2.430 Å, rel. 9
hkl 5 3 3, 40.58 deg, d = 2.223 Å, rel. 11
hkl 6 2 2, 41.07 deg, d = 2.198 Å, rel. 14
hkl 9 3 1, 60.60 deg, d = 1.528 Å, rel. 10
hkl 8 4 4, 62.42 deg, d = 1.488 Å, rel. 20
hkl 9 3 3, 63.50 deg, d = 1.465 Å, rel. 12



Diffraction record for SrCd11Ge. The powder diffractogram is theoretical, not measured: it uses DFT lattice parameters and positions (PBE) and copper Kα.

Structural model:
abc: 6.037 14.311 7.725
angles: 90.00 112.94 90.00
Space group C2/m (No. 12)
Unique sites:
Sr (0.000, 0.000, 0.000) (multiplicity 2)
Cd (0.000, 0.000, 0.500) (multiplicity 2)
Cd (0.110, 0.393, 0.216) (multiplicity 8)
Cd (0.180, 0.177, 0.354) (multiplicity 8)
Cd (0.250, 0.250, 0.000) (multiplicity 4)
Ge (0.000, 0.500, 0.500) (multiplicity 2)

Main lines, in order of rising 2θ (10 to 80 degrees two-theta):
hkl 1 3 -2, 30.42 deg, d = 2.938 Å, rel. 57
hkl 2 2 0, 34.63 deg, d = 2.590 Å, rel. 100
hkl 1 5 0, 35.27 deg, d = 2.545 Å, rel. 68
hkl 1 1 2, 35.43 deg, d = 2.534 Å, rel. 67
hkl 0 4 2, 35.59 deg, d = 2.523 Å, rel. 79
hkl 2 4 -1, 39.07 deg, d = 2.306 Å, rel. 81
hkl 1 5 1, 39.72 deg, d = 2.269 Å, rel. 40
hkl 0 6 1, 39.84 deg, d = 2.263 Å, rel. 45
hkl 0 2 3, 40.05 deg, d = 2.251 Å, rel. 29
hkl 2 6 -4, 63.30 deg, d = 1.469 Å, rel. 38